# 1
Structure and simulated XRD peak list of V3Pb4O12 (a DFT-relaxed cell (PBE+U, the Materials Project); a wavelength of 1.5418 Å).

Main lines, by intensity (2θ from 10° to 90°):
| h k l | 2theta | I/Imax |
| --- | --- | --- |
| 3 1 0 | 25.61 | 100 |
| 3 2 1 | 30.40 | 87 |
| 2 1 1 | 19.77 | 62 |
| 5 1 0 | 41.87 | 46 |
| 4 2 2 | 40.16 | 45 |
| 6 1 1 | 51.19 | 36 |
| 5 4 1 | 54.02 | 22 |
| 5 4 3 | 59.41 | 17 |

Structural model:
Cell: 11.0012 11.0012 11.0012 Å, 90.00 90.00 90.00°
Space group I-43d (No. 220)
Asymmetric unit:
V  0.0000  0.2500  0.8750 [12 per cell]
Pb  0.0822  0.4178  0.5822 [16 per cell]
O  0.0387  0.3801  0.1922 [48 per cell]

=====

# 2
Structure and simulated XRD peak list of V3Pb5O12 (a DFT-relaxed cell (PBE+U, the Materials Project); a wavelength of 1.5418 Å).

Main lines, by intensity (2θ from 10° to 90°):
| h k l | 2theta | I/Imax |
| --- | --- | --- |
| 1 1 2 | 29.48 | 100 |
| 1 2 1 | 28.95 | 99 |
| 3 0 0 | 29.93 | 63 |
| 1 2 0 | 26.33 | 44 |
| 2 2 2 | 42.51 | 40 |
| 4 0 2 | 47.32 | 39 |
| 1 1 1 | 20.89 | 39 |
| 2 0 0 | 19.83 | 37 |

Structural model:
Cell: 10.3423 10.3423 7.4763 Å, 90.00 90.00 120.00°
Space group P6_3/m (No. 176)
Asymmetric unit:
V  0.0170  0.6212  0.2500 [6 per cell]
Pb  0.0049  0.2568  0.2500 [6 per cell]
Pb  0.3333  0.6667  0.5101 [4 per cell]
O  0.0824  0.7395  0.0640 [12 per cell]
O  0.1047  0.5091  0.2500 [6 per cell]
O  0.1818  0.4879  0.7500 [6 per cell]

=====

# 3
Structure and simulated XRD peak list of V2Pb3O8 (a DFT-relaxed cell (PBE+U, the Materials Project); a wavelength of 1.5418 Å).

Main lines, by intensity (2θ from 10° to 90°):
| h k l | 2theta | I/Imax |
| --- | --- | --- |
| 2 1 -1 | 27.37 | 100 |
| 1 1 -3 | 31.26 | 74 |
| 0 2 1 | 29.07 | 61 |
| 1 0 2 | 28.59 | 60 |
| 1 1 -2 | 23.49 | 30 |
| 3 1 1 | 47.35 | 26 |
| 1 1 1 | 23.86 | 25 |
| 0 1 1 | 16.93 | 23 |

Structural model:
Cell: 7.5083 6.5706 9.5347 Å, 90.00 114.52 90.00°
Space group P2_1/c (No. 14)
Asymmetric unit:
V  0.1993  0.0187  0.4002 [4 per cell]
Pb  0.0000  0.0000  0.0000 [2 per cell]
Pb  0.3851  0.6119  0.2866 [4 per cell]
O  0.0424  0.5395  0.2293 [4 per cell]
O  0.2420  0.6978  0.0207 [4 per cell]
O  0.2717  0.2340  0.5145 [4 per cell]
O  0.3279  0.5252  0.7834 [4 per cell]

=====

# 4
Structure and simulated XRD peak list of V5Pb2O12 (a DFT-relaxed cell (PBE+U, the Materials Project); a wavelength of 1.5418 Å).

Main lines, by intensity (2θ from 10° to 90°):
| h k l | 2theta | I/Imax |
| --- | --- | --- |
| 1 1 -3 | 28.87 | 100 |
| 2 1 1 | 29.11 | 98 |
| 0 1 1 | 18.12 | 50 |
| 1 0 -2 | 17.09 | 46 |
| 3 0 -2 | 33.70 | 45 |
| 1 1 -2 | 23.82 | 44 |
| 1 0 4 | 33.80 | 43 |
| 2 0 -6 | 48.15 | 37 |

Structural model:
Cell: 8.3788 5.3830 11.9250 Å, 90.00 98.73 90.00°
Space group P2/c (No. 13)
Asymmetric unit:
V  0.0000  0.1077  0.2500 [2 per cell]
V  0.1539  0.1196  0.9758 [4 per cell]
V  0.4362  0.1054  0.3818 [4 per cell]
Pb  0.2793  0.3534  0.6775 [4 per cell]
O  0.0000  0.4131  0.2500 [2 per cell]
O  0.0606  0.0231  0.6055 [4 per cell]
O  0.1734  0.4217  0.9925 [4 per cell]
O  0.2125  0.0115  0.8300 [4 per cell]
O  0.3648  0.0359  0.5303 [4 per cell]
O  0.4539  0.4087  0.3629 [4 per cell]
O  0.5000  0.0609  0.7500 [2 per cell]

=====

# 5
Structure and simulated XRD peak list of V17Pb3O32 (a DFT-relaxed cell (PBE+U, the Materials Project); a wavelength of 1.5418 Å).

Main lines, by intensity (2θ from 10° to 90°):
| h k l | 2theta | I/Imax |
| --- | --- | --- |
| 0 2 -5 | 27.54 | 100 |
| -1 1 3 | 31.84 | 99 |
| 1 1 2 | 31.71 | 83 |
| 1 -3 2 | 35.58 | 79 |
| 0 4 0 | 32.33 | 65 |
| 0 2 3 | 26.43 | 47 |
| 0 1 1 | 11.00 | 46 |
| 2 0 -1 | 53.47 | 45 |

Structural model:
Cell: 3.4273 11.6276 16.9499 Å, 107.63 95.54 90.06°
Space group P1 (No. 1)
Asymmetric unit:
V  0.0000  0.0000  0.0000 [1 per cell]
V  0.0039  0.2949  0.0322 [1 per cell]
V  0.1106  0.5519  0.2179 [1 per cell]
V  0.1531  0.3074  0.3001 [1 per cell]
V  0.1716  0.0298  0.3412 [1 per cell]
V  0.2279  0.7836  0.4586 [1 per cell]
V  0.3628  0.3163  0.7162 [1 per cell]
V  0.4188  0.0500  0.8332 [1 per cell]
V  0.4450  0.7879  0.8901 [1 per cell]
V  0.4831  0.5263  0.9706 [1 per cell]
V  0.6464  0.1326  0.1667 [1 per cell]
V  0.6527  0.7902  0.3011 [1 per cell]
V  0.6886  0.5486  0.3786 [1 per cell]
V  0.7207  0.2592  0.4440 [1 per cell]
V  0.8714  0.8138  0.7360 [1 per cell]
V  0.9068  0.5445  0.8092 [1 per cell]
V  0.9363  0.2842  0.8649 [1 per cell]
Pb  0.0714  0.8304  0.1281 [1 per cell]
Pb  0.2942  0.5337  0.5858 [1 per cell]
Pb  0.8100  0.0362  0.6178 [1 per cell]
O  0.0140  0.1690  0.0831 [1 per cell]
O  0.0562  0.4455  0.1207 [1 per cell]
O  0.1152  0.7200  0.2237 [1 per cell]
O  0.1334  0.1143  0.2309 [1 per cell]
O  0.1548  0.4807  0.3085 [1 per cell]
O  0.1873  0.8707  0.3740 [1 per cell]
O  0.1935  0.2198  0.3887 [1 per cell]
O  0.2274  0.6138  0.4596 [1 per cell]
O  0.2791  0.8896  0.5572 [1 per cell]
O  0.3137  0.2060  0.6231 [1 per cell]
O  0.3671  0.4883  0.7243 [1 per cell]
O  0.3964  0.8592  0.7870 [1 per cell]
O  0.4040  0.2170  0.8000 [1 per cell]
O  0.4422  0.6056  0.8836 [1 per cell]
O  0.4637  0.9822  0.9304 [1 per cell]
O  0.4837  0.3453  0.9800 [1 per cell]
O  0.5241  0.9894  0.0852 [1 per cell]
O  0.5284  0.6436  0.0587 [1 per cell]
O  0.6090  0.2893  0.2206 [1 per cell]
O  0.6357  0.5991  0.2685 [1 per cell]
O  0.6357  0.9346  0.2635 [1 per cell]
O  0.6883  0.3717  0.3783 [1 per cell]
O  0.7043  0.7366  0.4102 [1 per cell]
O  0.7076  0.0866  0.4173 [1 per cell]
O  0.7724  0.3634  0.5440 [1 per cell]
O  0.8215  0.7106  0.6391 [1 per cell]
O  0.8789  0.9936  0.7499 [1 per cell]
O  0.8877  0.3567  0.7668 [1 per cell]
O  0.9076  0.7167  0.8111 [1 per cell]
O  0.9533  0.1476  0.9083 [1 per cell]
O  0.9578  0.4685  0.9180 [1 per cell]
O  0.9803  0.8250  0.9673 [1 per cell]

=====

# 6
Structure and simulated XRD peak list of V2Pb3O8 (a DFT-relaxed cell (PBE+U, the Materials Project); a wavelength of 1.5418 Å).

Main lines, by intensity (2θ from 10° to 90°):
| h k l | 2theta | I/Imax |
| --- | --- | --- |
| 0 1 5 | 28.26 | 100 |
| 1 1 0 | 30.76 | 92 |
| 2 0 5 | 42.26 | 41 |
| 1 2 5 | 53.17 | 36 |
| 1 0 1 | 18.16 | 30 |
| 1 0 10 | 48.40 | 28 |
| 2 1 10 | 67.51 | 21 |
| 3 0 0 | 54.70 | 18 |

Structural model:
Cell: 5.8132 5.8132 20.2759 Å, 90.00 90.00 120.00°
Space group R-3m (No. 166, hexagonal axes)
Asymmetric unit:
V  0.0000  0.0000  0.0955 [6 per cell]
Pb  0.0000  0.0000  0.2991 [6 per cell]
Pb  0.0000  0.0000  0.5000 [3 per cell]
O  0.0000  0.0000  0.1804 [6 per cell]
O  0.0040  0.5020  0.7339 [18 per cell]

=====

# 7
Structure and simulated XRD peak list of V2Pb3O8 (a DFT-relaxed cell (PBE+U, the Materials Project); a wavelength of 1.5418 Å).

Main lines, by intensity (2θ from 10° to 90°):
| h k l | 2theta | I/Imax |
| --- | --- | --- |
| 1 1 -2 | 27.27 | 100 |
| 3 1 -1 | 31.30 | 66 |
| 0 2 0 | 27.64 | 46 |
| 1 1 1 | 24.20 | 37 |
| 2 0 1 | 28.99 | 36 |
| 2 2 1 | 40.48 | 30 |
| 2 0 -1 | 18.97 | 27 |
| 1 1 3 | 47.73 | 19 |

Structural model:
Cell: 9.5646 6.4553 7.5941 Å, 90.00 115.98 90.00°
Space group C2 (No. 5)
Asymmetric unit:
V  0.0963  0.0000  0.3001 [4 per cell]
Pb  0.0000  0.5116  0.5000 [2 per cell]
Pb  0.2306  0.5628  0.1230 [4 per cell]
O  0.0226  0.2193  0.7883 [4 per cell]
O  0.0375  0.7990  0.7310 [4 per cell]
O  0.2060  0.9439  0.1727 [4 per cell]
O  0.2299  0.0449  0.5413 [4 per cell]

=====

# 8
Structure and simulated XRD peak list of VZnPbO5 (a DFT-relaxed cell (PBE+U, the Materials Project); a wavelength of 1.5418 Å).

Main lines, by intensity (2θ from 10° to 90°):
| h k l | 2theta | I/Imax |
| --- | --- | --- |
| 1 2 0 | 27.04 | 100 |
| 1 2 2 | 33.12 | 94 |
| 1 0 1 | 17.40 | 68 |
| 0 1 3 | 30.67 | 58 |
| 1 1 3 | 34.12 | 55 |
| 2 2 1 | 38.71 | 46 |
| 1 1 1 | 20.77 | 36 |
| 2 3 3 | 54.77 | 34 |

Structural model:
Cell: 6.0623 7.8595 9.4184 Å, 90.00 90.00 90.00°
Space group P2_12_12_1 (No. 19)
Asymmetric unit:
V  0.0054  0.1125  0.1870 [4 per cell]
Zn  0.2499  0.2489  0.5017 [4 per cell]
Pb  0.0088  0.6217  0.6796 [4 per cell]
O  0.0009  0.4337  0.4251 [4 per cell]
O  0.0023  0.6209  0.9251 [4 per cell]
O  0.0230  0.2860  0.0815 [4 per cell]
O  0.2461  0.6292  0.2132 [4 per cell]
O  0.2477  0.1125  0.2953 [4 per cell]